Entry 1:
TmMnGe: simulated X-ray diffraction stick pattern (Cu Kα, 1.54184 Å), based on a structure optimized by DFT (PBE).
Peak positions follow from Bragg's law for the DFT cell and can differ from measured ones.

Structural model:
Cell lengths 6.959, 4.051, 7.881 Å; angles 90.00, 90.00, 90.00 degrees
Fractional positions:
Tm: 0.026 0.250 0.181
Tm: 0.474 0.750 0.681
Tm: 0.526 0.250 0.319
Tm: 0.974 0.750 0.819
Mn: 0.133 0.250 0.554
Mn: 0.367 0.750 0.054
Mn: 0.633 0.250 0.946
Mn: 0.867 0.750 0.446
Ge: 0.227 0.750 0.379
Ge: 0.273 0.250 0.879
Ge: 0.727 0.750 0.121
Ge: 0.773 0.250 0.621

Peak list (10 most intense, 2θ from 15° to 90°, low angle first)
2θ = 24.7°, I 22
2θ = 34.3°, I 77
2θ = 34.4°, I 18
2θ = 35.9°, I 100
2θ = 36.6°, I 37
2θ = 40.9°, I 20
2θ = 44.7°, I 31
2θ = 57.6°, I 16
2θ = 59.1°, I 18
2θ = 66.4°, I 16

Entry 2:
TmMn6Ge6: simulated X-ray diffraction stick pattern (Cu Kα, 1.54184 Å), based on a structure optimized by DFT (PBE).
Peak positions follow from Bragg's law for the DFT cell and can differ from measured ones.

Structural model:
Cell lengths 5.167, 5.167, 8.131 Å; angles 90.00, 90.00, 120.00 degrees
Fractional positions:
Tm: 0.000 0.000 0.000
Mn: 0.000 0.500 0.250
Mn: 0.000 0.500 0.750
Mn: 0.500 0.000 0.250
Mn: 0.500 0.000 0.750
Mn: 0.500 0.500 0.250
Mn: 0.500 0.500 0.750
Ge: 0.000 0.000 0.343
Ge: 0.000 0.000 0.657
Ge: 0.333 0.667 0.000
Ge: 0.333 0.667 0.500
Ge: 0.667 0.333 0.000
Ge: 0.667 0.333 0.500

Peak list (10 most intense, 2θ from 15° to 90°, low angle first)
2θ = 34.7°, I 77
2θ = 38.8°, I 44
2θ = 40.3°, I 50
2θ = 41.4°, I 100
2θ = 44.6°, I 24
2θ = 46.3°, I 36
2θ = 48.7°, I 23
2θ = 66.8°, I 23
2θ = 73.3°, I 29
2θ = 79.9°, I 27

Entry 3:
TmMnGe: simulated X-ray diffraction stick pattern (Cu Kα, 1.54184 Å), based on a structure optimized by DFT (PBE).
Peak positions follow from Bragg's law for the DFT cell and can differ from measured ones.

Structural model:
Cell lengths 6.809, 6.809, 4.093 Å; angles 90.00, 90.00, 120.00 degrees
Fractional positions:
Tm: 0.000 0.582 0.000
Tm: 0.418 0.418 0.000
Tm: 0.582 0.000 0.000
Mn: 0.000 0.223 0.500
Mn: 0.223 0.000 0.500
Mn: 0.777 0.777 0.500
Ge: 0.000 0.000 0.000
Ge: 0.333 0.667 0.500
Ge: 0.667 0.333 0.500

Peak list (10 most intense, 2θ from 15° to 90°, low angle first)
2θ = 26.2°, I 21
2θ = 30.3°, I 25
2θ = 34.3°, I 99
2θ = 37.6°, I 100
2θ = 40.5°, I 39
2θ = 44.3°, I 29
2θ = 56.3°, I 18
2θ = 61.0°, I 34
2θ = 61.5°, I 22
2θ = 73.8°, I 18

Entry 4:
UMn2Ge2: simulated X-ray diffraction stick pattern (Cu Kα, 1.54184 Å), based on a structure optimized by DFT (PBE).
Peak positions follow from Bragg's law for the DFT cell and can differ from measured ones.

Structural model:
Cell lengths 5.946, 5.946, 5.946 Å; angles 140.81, 140.81, 56.62 degrees
Fractional positions:
U: 0.000 0.000 0.000
Mn: 0.250 0.750 0.500
Mn: 0.750 0.250 0.500
Ge: 0.380 0.380 0.000
Ge: 0.620 0.620 0.000

Peak list (10 most intense, 2θ from 15° to 90°, low angle first)
2θ = 16.9°, I 18
2θ = 23.9°, I 31
2θ = 31.7°, I 41
2θ = 34.1°, I 100
2θ = 36.2°, I 100
2θ = 45.5°, I 51
2θ = 49.1°, I 42
2θ = 58.1°, I 52
2θ = 69.2°, I 31
2θ = 77.9°, I 22

Copy entry 3 word for word.
TmMnGe: simulated X-ray diffraction stick pattern (Cu Kα, 1.54184 Å), based on a structure optimized by DFT (PBE).
Peak positions follow from Bragg's law for the DFT cell and can differ from measured ones.

Structural model:
Cell lengths 6.809, 6.809, 4.093 Å; angles 90.00, 90.00, 120.00 degrees
Fractional positions:
Tm: 0.000 0.582 0.000
Tm: 0.418 0.418 0.000
Tm: 0.582 0.000 0.000
Mn: 0.000 0.223 0.500
Mn: 0.223 0.000 0.500
Mn: 0.777 0.777 0.500
Ge: 0.000 0.000 0.000
Ge: 0.333 0.667 0.500
Ge: 0.667 0.333 0.500

Peak list (10 most intense, 2θ from 15° to 90°, low angle first)
2θ = 26.2°, I 21
2θ = 30.3°, I 25
2θ = 34.3°, I 99
2θ = 37.6°, I 100
2θ = 40.5°, I 39
2θ = 44.3°, I 29
2θ = 56.3°, I 18
2θ = 61.0°, I 34
2θ = 61.5°, I 22
2θ = 73.8°, I 18